For Sr2MgZn2Sn2P4O16, a cell relaxed with GGA-PBE gives the simulated X-ray powder pattern in this record (a wavelength of 1.5418 Å).
Peak positions follow from Bragg's law for the DFT cell and can differ from measured ones.

Principal peaks in the range 15 to 90 degrees two-theta, sorted by position:
- hkl 1 1 -1, 3.521 Å, 25.29°, intensity 86
- hkl 0 2 2, 3.428 Å, 25.99°, intensity 100
- hkl 1 2 1, 3.321 Å, 26.84°, intensity 25
- hkl 1 -1 2, 3.190 Å, 27.97°, intensity 64
- hkl 1 -2 1, 2.852 Å, 31.37°, intensity 35
- hkl 2 0 1, 2.788 Å, 32.10°, intensity 42
- hkl 2 -1 0, 2.571 Å, 34.90°, intensity 30
- hkl 0 2 -3, 2.089 Å, 43.32°, intensity 25
- hkl 3 1 1, 1.835 Å, 49.69°, intensity 23
- hkl 0 4 4, 1.714 Å, 53.45°, intensity 20

Atomic structure:
```
data_Sr2MgZn2Sn2P4O16
_space_group_name_H-M_alt 'P -1'
_space_group_IT_number 2
_cell_length_a 5.6078
_cell_length_b 7.9044
_cell_length_c 9.7369
_cell_angle_alpha 72.98
_cell_angle_beta 76.84
_cell_angle_gamma 86.48
loop_
_space_group_symop_operation_xyz
'x,y,z'
'-x,-y,-z'
loop_
_atom_site_label
_atom_site_type_symbol
_atom_site_fract_x
_atom_site_fract_y
_atom_site_fract_z
Sr1 Sr 0.1230 0.2445 0.0168
Mg1 Mg 0.0000 0.5000 0.5000
Zn1 Zn 0.0303 0.9351 0.3970
Sn1 Sn 0.4078 0.6807 0.5747
P1 P 0.2620 0.5651 0.2292
P2 P 0.4056 0.9738 0.7594
O1 O 0.0860 0.6891 0.3082
O2 O 0.1523 0.5252 0.1123
O3 O 0.2300 0.0031 0.8946
O4 O 0.2422 0.3855 0.3694
O5 O 0.3088 0.7954 0.7469
O6 O 0.3234 0.0440 0.2281
O7 O 0.3714 0.1165 0.6124
O8 O 0.4699 0.3817 0.8144
```